# 1
Structure and computed powder X-ray diffraction pattern of Na4Tl2Pb5 (a DFT-relaxed cell (PBE, Alexandria); Cu Kα X-rays).
Lines closer than 0.1° are merged.

Crystal structure
Cell: 10.2863 3.5599 10.2922 Å, 90.00 119.55 90.00°
Space group P2/m (No. 10)
Inequivalent atoms, fractional coordinates:
Na 0.0013 0.0000 0.2703 (multiplicity 2)
Na 0.4850 0.0000 0.7507 (multiplicity 2)
Tl 0.3207 0.5000 0.3652 (multiplicity 2)
Pb 0.0000 0.5000 0.0000 (multiplicity 1)
Pb 0.1769 0.5000 0.5847 (multiplicity 2)
Pb 0.3143 0.5000 0.9414 (multiplicity 2)

Principal peaks in the range 2θ = 10–80°, by angle:
hkl 0 0 2, 19.84 deg, intensity 52.4; hkl 2 0 -2, 19.97 deg, intensity 34.2; hkl 0 1 0, 25.01 deg, intensity 98.6; hkl 3 0 -1, 26.45 deg, intensity 45.6; hkl 0 0 3, 29.95 deg, intensity 32.2; hkl 2 1 -2, 32.16 deg, intensity 100.0; hkl 2 0 -4, 34.88 deg, intensity 53.9; hkl 2 1 1, 36.63 deg, intensity 38.8; hkl 3 1 -1, 36.73 deg, intensity 32.4; hkl 2 1 -4, 43.40 deg, intensity 40.7

# 2
Structure and computed powder X-ray diffraction pattern of Na2Tl3Pb3 (a DFT-relaxed cell (PBE, Alexandria); Cu Kα X-rays).
Lines closer than 0.1° are merged.

Crystal structure
Cell: 4.4282 5.1092 10.4325 Å, 90.00 90.00 90.00°
Space group Pmmm (No. 47)
Inequivalent atoms, fractional coordinates:
Na 0.0000 0.0000 0.2487 (multiplicity 2)
Tl 0.5000 0.0000 0.0000 (multiplicity 1)
Tl 0.5000 0.5000 0.2516 (multiplicity 2)
Pb 0.0000 0.5000 0.0000 (multiplicity 1)
Pb 0.0000 0.5000 0.5000 (multiplicity 1)
Pb 0.5000 0.0000 0.5000 (multiplicity 1)

Principal peaks in the range 2θ = 10–80°, by angle:
hkl 1 1 2, 31.77 deg, intensity 100.0; hkl 0 0 4, 34.39 deg, intensity 20.3; hkl 0 2 0, 35.13 deg, intensity 19.2; hkl 2 0 0, 40.76 deg, intensity 14.8; hkl 0 2 4, 49.97 deg, intensity 14.4; hkl 2 0 4, 54.36 deg, intensity 12.9; hkl 1 1 6, 59.95 deg, intensity 16.8; hkl 1 3 2, 60.93 deg, intensity 16.0; hkl 2 2 4, 66.38 deg, intensity 12.4; hkl 3 1 2, 68.59 deg, intensity 12.8

# 3
Structure and computed powder X-ray diffraction pattern of NaTl4Pb5 (a DFT-relaxed cell (PBE, Alexandria); Cu Kα X-rays).
Lines closer than 0.1° are merged.

Crystal structure
Cell: 18.1419 3.6150 10.4798 Å, 90.00 113.30 90.00°
Space group C2/m (No. 12)
Inequivalent atoms, fractional coordinates:
Na 0.0000 0.0000 0.0000 (multiplicity 2)
Tl 0.0062 0.5000 0.2492 (multiplicity 4)
Tl 0.1636 0.0000 0.8773 (multiplicity 4)
Pb 0.0000 0.0000 0.5000 (multiplicity 2)
Pb 0.1779 0.5000 0.2043 (multiplicity 4)
Pb 0.1788 0.5000 0.5442 (multiplicity 4)

Principal peaks in the range 2θ = 10–80°, by angle:
hkl 4 0 -3, 27.60 deg, intensity 57.1; hkl 0 0 3, 27.81 deg, intensity 43.5; hkl 3 1 -1, 28.92 deg, intensity 40.1; hkl 3 1 -2, 31.31 deg, intensity 28.3; hkl 6 0 0, 32.23 deg, intensity 85.0; hkl 1 1 2, 32.68 deg, intensity 100.0; hkl 3 1 1, 32.85 deg, intensity 28.2; hkl 6 0 -3, 33.29 deg, intensity 42.0; hkl 5 1 -2, 35.97 deg, intensity 65.0; hkl 6 2 0, 61.18 deg, intensity 28.1

# 4
Structure and computed powder X-ray diffraction pattern of Na2TlPb4 (a DFT-relaxed cell (PBE, Alexandria); Cu Kα X-rays).
Lines closer than 0.1° are merged.

Crystal structure
Cell: 12.8419 6.6258 10.9070 Å, 90.00 90.00 90.00°
Space group Cmce (No. 64)
Inequivalent atoms, fractional coordinates:
Na 0.1458 0.0000 0.0000 (multiplicity 8)
Tl 0.0000 0.0000 0.5000 (multiplicity 4)
Pb 0.0000 0.2485 0.2496 (multiplicity 8)
Pb 0.2500 0.2478 0.7500 (multiplicity 8)

Principal peaks in the range 2θ = 10–80°, by angle:
hkl 0 0 2, 16.25 deg, intensity 67.5; hkl 4 0 0, 27.79 deg, intensity 57.6; hkl 0 2 2, 31.60 deg, intensity 100.0; hkl 4 0 2, 32.36 deg, intensity 36.3; hkl 0 0 4, 32.85 deg, intensity 45.3; hkl 4 2 0, 39.07 deg, intensity 22.0; hkl 4 2 2, 42.57 deg, intensity 75.5; hkl 4 0 4, 43.55 deg, intensity 35.5; hkl 4 2 6, 65.37 deg, intensity 21.9; hkl 8 2 2, 67.02 deg, intensity 23.0